1.
KLi2Se: theoretical X-ray diffraction stick pattern (CuKα), based on a DFT-relaxed cell (PBE, Alexandria).
Peak positions follow from Bragg's law for the DFT cell and can differ from measured ones.

Structural model:
```
KLi2Se
1.0
3.6821 0.0000 0.0000
0.0000 4.1461 0.0000
0.0000 0.0000 15.5636
K Li Se
2 4 2
direct
0.0000 0.0000 0.0000 K
0.5000 0.5000 0.5000 K
0.0000 0.0000 0.7023 Li
0.0000 0.5000 0.8201 Li
0.5000 0.0000 0.3201 Li
0.5000 0.5000 0.2023 Li
0.0000 0.5000 0.3152 Se
0.5000 0.0000 0.8152 Se
```

Peak list (12 most intense, 2θ = 10–90°, by angle)
- 11.4 deg, rel. 87
- 22.2 deg, rel. 98
- 22.9 deg, rel. 35
- 24.8 deg, rel. 30
- 29.8 deg, rel. 63
- 34.6 deg, rel. 100
- 36.1 deg, rel. 31
- 40.1 deg, rel. 41
- 43.7 deg, rel. 13
- 53.7 deg, rel. 22
- 54.9 deg, rel. 15
- 58.1 deg, rel. 18

***

2.
Cs2KCdF5: theoretical X-ray diffraction stick pattern (CuKα), based on a DFT-relaxed cell (PBE, Alexandria).
Peak positions follow from Bragg's law for the DFT cell and can differ from measured ones.

Structural model:
```
Cs2KCdF5
1.0
-2.2217 3.2890 7.0384
2.2217 -3.2890 7.0384
2.2217 3.2890 -7.0384
Cs K Cd F
2 1 1 5
direct
0.2132 0.2132 0.0000 Cs
0.7868 0.7868 0.0000 Cs
0.5000 0.0000 0.5000 K
0.0000 0.5000 0.5000 Cd
0.0000 0.0000 0.0000 F
0.1290 0.3848 0.7442 F
0.3594 0.6152 0.7442 F
0.6406 0.3848 0.2558 F
0.8710 0.6152 0.2558 F
```

Peak list (12 most intense, 2θ = 10–90°, by angle)
- 14.9 deg, rel. 37
- 25.3 deg, rel. 14
- 27.1 deg, rel. 24
- 27.3 deg, rel. 100
- 27.6 deg, rel. 11
- 34.7 deg, rel. 21
- 37.4 deg, rel. 26
- 39.1 deg, rel. 20
- 40.6 deg, rel. 16
- 48.0 deg, rel. 20
- 54.4 deg, rel. 11
- 56.4 deg, rel. 14

***

3.
Ac2Pr5Er: theoretical X-ray diffraction stick pattern (CuKα), based on a DFT-relaxed cell (PBE, Alexandria).
Peak positions follow from Bragg's law for the DFT cell and can differ from measured ones.

Structural model:
```
Ac2Pr5Er
1.0
5.3339 0.0000 0.0000
0.0000 5.3339 0.0000
0.0000 0.0000 21.1092
Ac Pr Er
4 10 2
direct
0.0000 0.0000 0.2499 Ac
0.0000 0.0000 0.7501 Ac
0.5000 0.5000 0.2501 Ac
0.5000 0.5000 0.7499 Ac
0.0000 0.0000 0.0000 Pr
0.0000 0.5000 0.1189 Pr
0.0000 0.5000 0.3811 Pr
0.0000 0.5000 0.6189 Pr
0.0000 0.5000 0.8811 Pr
0.5000 0.0000 0.1189 Pr
0.5000 0.0000 0.3811 Pr
0.5000 0.0000 0.6189 Pr
0.5000 0.0000 0.8811 Pr
0.5000 0.5000 0.5000 Pr
0.0000 0.0000 0.5000 Er
0.5000 0.5000 0.0000 Er
```

Peak list (12 most intense, 2θ = 10–90°, by angle)
- 29.1 deg, rel. 100
- 33.6 deg, rel. 35
- 34.0 deg, rel. 16
- 48.3 deg, rel. 13
- 48.5 deg, rel. 24
- 57.3 deg, rel. 30
- 57.8 deg, rel. 14
- 60.3 deg, rel. 13
- 78.2 deg, rel. 6
- 78.6 deg, rel. 11
- 80.5 deg, rel. 6
- 80.7 deg, rel. 5

***

4.
ErCoC: theoretical X-ray diffraction stick pattern (CuKα), based on a DFT-relaxed cell (PBE, Alexandria).
Peak positions follow from Bragg's law for the DFT cell and can differ from measured ones.

Structural model:
```
ErCoC
1.0
3.5149 0.0000 0.0000
0.0000 3.5149 0.0000
0.0000 0.0000 3.6038
Er Co C
1 1 1
direct
0.0000 0.0000 0.0000 Er
0.5000 0.5000 0.5000 Co
0.5000 0.5000 0.0000 C
```

Peak list (12 most intense, 2θ = 10–90°, by angle)
- 24.7 deg, rel. 18
- 25.3 deg, rel. 21
- 35.7 deg, rel. 100
- 36.1 deg, rel. 58
- 44.3 deg, rel. 15
- 50.7 deg, rel. 11
- 52.0 deg, rel. 20
- 63.8 deg, rel. 21
- 64.7 deg, rel. 35
- 75.6 deg, rel. 13
- 85.4 deg, rel. 8
- 87.8 deg, rel. 9

***

5.
RbNpP2Se8: theoretical X-ray diffraction stick pattern (CuKα), based on a DFT-relaxed cell (PBE, Alexandria).
Peak positions follow from Bragg's law for the DFT cell and can differ from measured ones.

Structural model:
```
RbNpP2Se8
1.0
3.2423 1.8719 10.2656
-3.2423 1.8719 10.2656
0.0000 -3.7439 10.2656
Rb Np P Se
1 1 2 8
direct
0.0000 0.0000 0.0000 Rb
0.5000 0.5000 0.5000 Np
0.2427 0.2427 0.2427 P
0.7573 0.7573 0.7573 P
0.1007 0.4373 0.8050 Se
0.1950 0.8993 0.5627 Se
0.3123 0.3123 0.3123 Se
0.4373 0.8050 0.1007 Se
0.5627 0.1950 0.8993 Se
0.6877 0.6877 0.6877 Se
0.8050 0.1007 0.4373 Se
0.8993 0.5627 0.1950 Se
```

Peak list (12 most intense, 2θ = 10–90°, by angle)
- 16.0 deg, rel. 21
- 19.6 deg, rel. 64
- 21.4 deg, rel. 35
- 27.5 deg, rel. 20
- 28.9 deg, rel. 52
- 32.7 deg, rel. 100
- 33.2 deg, rel. 23
- 34.0 deg, rel. 23
- 44.3 deg, rel. 21
- 45.1 deg, rel. 42
- 48.6 deg, rel. 45
- 80.6 deg, rel. 18

***

6.
MnGePN: theoretical X-ray diffraction stick pattern (CuKα), based on a DFT-relaxed cell (PBE, Alexandria).
Peak positions follow from Bragg's law for the DFT cell and can differ from measured ones.

Structural model:
```
MnGePN
1.0
3.0596 0.0000 0.0000
0.0000 2.6345 0.0000
-1.4958 0.0000 6.3303
Mn Ge P N
1 1 1 1
direct
0.0000 0.0000 0.0000 Mn
0.7031 0.5000 0.4165 Ge
0.4076 0.5000 0.8107 P
0.1069 0.5000 0.2182 N
```

Peak list (12 most intense, 2θ = 10–90°, by angle)
- 14.0 deg, rel. 25
- 28.2 deg, rel. 86
- 30.0 deg, rel. 38
- 36.2 deg, rel. 93
- 36.4 deg, rel. 91
- 37.0 deg, rel. 100
- 44.8 deg, rel. 44
- 46.0 deg, rel. 92
- 50.5 deg, rel. 27
- 50.7 deg, rel. 29
- 55.8 deg, rel. 34
- 60.5 deg, rel. 27

***

7.
Sr2AsPdPt: theoretical X-ray diffraction stick pattern (CuKα), based on a DFT-relaxed cell (PBE, Alexandria).
Peak positions follow from Bragg's law for the DFT cell and can differ from measured ones.

Structural model:
```
Sr2AsPdPt
1.0
5.9350 0.0000 0.0000
0.0000 5.9350 0.0000
0.0000 0.0000 4.5330
Sr As Pd Pt
2 1 1 1
direct
0.0000 0.5000 0.0000 Sr
0.5000 0.0000 0.0000 Sr
0.0000 0.0000 0.0000 As
0.5000 0.5000 0.5000 Pd
0.0000 0.0000 0.5000 Pt
```

Peak list (12 most intense, 2θ = 10–90°, by angle)
- 14.9 deg, rel. 38
- 21.2 deg, rel. 27
- 29.0 deg, rel. 100
- 30.1 deg, rel. 88
- 39.8 deg, rel. 21
- 43.1 deg, rel. 33
- 50.7 deg, rel. 41
- 52.8 deg, rel. 38
- 60.1 deg, rel. 24
- 71.0 deg, rel. 15
- 76.8 deg, rel. 12
- 84.6 deg, rel. 19

***

8.
Ca4PbAu3: theoretical X-ray diffraction stick pattern (CuKα), based on a DFT-relaxed cell (PBE, Alexandria).
Peak positions follow from Bragg's law for the DFT cell and can differ from measured ones.

Structural model:
```
Ca4PbAu3
1.0
5.2464 0.0000 0.0000
0.0000 5.2464 0.0000
0.0000 0.0000 14.8327
Ca Pb Au
8 2 6
direct
0.0000 0.5000 0.1293 Ca
0.0000 0.5000 0.3707 Ca
0.0000 0.5000 0.6293 Ca
0.0000 0.5000 0.8707 Ca
0.5000 0.0000 0.1293 Ca
0.5000 0.0000 0.3707 Ca
0.5000 0.0000 0.6293 Ca
0.5000 0.0000 0.8707 Ca
0.0000 0.0000 0.0000 Pb
0.5000 0.5000 0.5000 Pb
0.0000 0.0000 0.2495 Au
0.0000 0.0000 0.5000 Au
0.0000 0.0000 0.7505 Au
0.5000 0.5000 0.0000 Au
0.5000 0.5000 0.2505 Au
0.5000 0.5000 0.7495 Au
```

Peak list (10 most intense, 2θ = 10–90°, by angle)
- 24.0 deg, rel. 50
- 34.2 deg, rel. 100
- 42.2 deg, rel. 16
- 49.1 deg, rel. 18
- 55.4 deg, rel. 23
- 61.2 deg, rel. 37
- 72.0 deg, rel. 11
- 77.1 deg, rel. 12
- 82.2 deg, rel. 16
- 87.2 deg, rel. 7

***

9.
NaIn4Te7: theoretical X-ray diffraction stick pattern (CuKα), based on a DFT-relaxed cell (PBE, Alexandria).
Peak positions follow from Bragg's law for the DFT cell and can differ from measured ones.

Structural model:
```
NaIn4Te7
1.0
16.3839 0.0000 0.0000
0.0000 7.8561 0.0000
0.0000 0.0000 7.2288
Na In Te
2 8 14
direct
0.0000 0.0946 0.0000 Na
0.5000 0.9054 0.5000 Na
0.1252 0.3239 0.5323 In
0.2382 0.8178 0.5141 In
0.2618 0.1822 0.0141 In
0.3748 0.6761 0.0323 In
0.6252 0.6761 0.0323 In
0.7382 0.1822 0.0141 In
0.7618 0.8178 0.5141 In
0.8748 0.3239 0.5323 In
0.0000 0.0900 0.4473 Te
0.1018 0.6466 0.3593 Te
0.1271 0.3857 0.9173 Te
0.2244 0.8375 0.9139 Te
0.2756 0.1625 0.4139 Te
0.3729 0.6143 0.4173 Te
0.3982 0.3534 0.8593 Te
0.5000 0.9100 0.9473 Te
0.6018 0.3534 0.8593 Te
0.6271 0.6143 0.4173 Te
0.7244 0.1625 0.4139 Te
0.7756 0.8375 0.9139 Te
0.8729 0.3857 0.9173 Te
0.8982 0.6466 0.3593 Te
```

Peak list (12 most intense, 2θ = 10–90°, by angle)
- 10.8 deg, rel. 38
- 13.4 deg, rel. 36
- 24.5 deg, rel. 100
- 24.6 deg, rel. 87
- 25.8 deg, rel. 54
- 27.5 deg, rel. 39
- 28.0 deg, rel. 38
- 35.0 deg, rel. 45
- 40.2 deg, rel. 32
- 40.9 deg, rel. 57
- 44.1 deg, rel. 46
- 45.2 deg, rel. 46

***

10.
Ba3TbTc2O9: theoretical X-ray diffraction stick pattern (CuKα), based on a DFT-relaxed cell (PBE, Alexandria).
Peak positions follow from Bragg's law for the DFT cell and can differ from measured ones.

Structural model:
```
Ba3TbTc2O9
1.0
5.8859 0.0000 0.0000
-2.9429 5.0973 0.0000
0.0000 0.0000 7.2187
Ba Tb Tc O
3 1 2 9
direct
0.0000 0.0000 0.0000 Ba
0.3333 0.6667 0.6641 Ba
0.6667 0.3333 0.3359 Ba
0.0000 0.0000 0.5000 Tb
0.3333 0.6667 0.1504 Tc
0.6667 0.3333 0.8496 Tc
0.0000 0.5000 0.0000 O
0.1771 0.3542 0.3159 O
0.1771 0.8229 0.3159 O
0.3542 0.1771 0.6841 O
0.5000 0.0000 0.0000 O
0.5000 0.5000 0.0000 O
0.6458 0.8229 0.3159 O
0.8229 0.1771 0.6841 O
0.8229 0.6458 0.6841 O
```

Peak list (12 most intense, 2θ = 10–90°, by angle)
- 21.3 deg, rel. 1
- 30.4 deg, rel. 100
- 37.4 deg, rel. 3
- 39.5 deg, rel. 1
- 43.5 deg, rel. 29
- 53.9 deg, rel. 40
- 63.2 deg, rel. 18
- 71.7 deg, rel. 18
- 79.7 deg, rel. 1
- 79.8 deg, rel. 5
- 87.7 deg, rel. 10
- 87.7 deg, rel. 11

***

11.
TbBBr2: theoretical X-ray diffraction stick pattern (CuKα), based on a DFT-relaxed cell (PBE, Alexandria).
Peak positions follow from Bragg's law for the DFT cell and can differ from measured ones.

Structural model:
```
TbBBr2
1.0
6.4092 0.0000 0.0000
0.0000 3.6945 0.0000
-2.1139 0.0000 9.4076
Tb B Br
2 2 4
direct
0.0000 0.0000 0.0000 Tb
0.5000 0.5000 0.0000 Tb
0.0000 0.4938 0.5000 B
0.5000 0.9938 0.5000 B
0.0984 0.4997 0.7922 Br
0.4016 0.9997 0.2078 Br
0.5984 0.9997 0.7922 Br
0.9016 0.4997 0.2078 Br
```

Peak list (12 most intense, 2θ = 10–90°, by angle)
- 28.5 deg, rel. 23
- 28.6 deg, rel. 46
- 32.1 deg, rel. 100
- 35.8 deg, rel. 36
- 37.9 deg, rel. 25
- 38.3 deg, rel. 13
- 42.7 deg, rel. 49
- 49.3 deg, rel. 33
- 50.3 deg, rel. 22
- 60.1 deg, rel. 17
- 64.1 deg, rel. 11
- 71.6 deg, rel. 13

***

12.
AgBr4Cl: theoretical X-ray diffraction stick pattern (CuKα), based on a DFT-relaxed cell (PBE, Alexandria).
Peak positions follow from Bragg's law for the DFT cell and can differ from measured ones.

Structural model:
```
AgBr4Cl
1.0
6.3716 0.0000 0.0000
-1.3873 8.4940 0.0000
-2.3673 -3.6815 8.1083
Ag Br Cl
2 8 2
direct
0.1210 0.3067 0.1094 Ag
0.8790 0.6933 0.8906 Ag
0.1866 0.0800 0.8420 Br
0.1982 0.1196 0.3000 Br
0.3020 0.6558 0.9830 Br
0.3358 0.6582 0.2676 Br
0.6642 0.3418 0.7324 Br
0.6980 0.3442 0.0170 Br
0.8018 0.8804 0.7000 Br
0.8134 0.9200 0.1580 Br
0.3756 0.6825 0.5457 Cl
0.6244 0.3175 0.4543 Cl
```

Peak list (12 most intense, 2θ = 10–90°, by angle)
- 10.9 deg, rel. 100
- 15.3 deg, rel. 88
- 23.7 deg, rel. 54
- 24.4 deg, rel. 54
- 27.0 deg, rel. 42
- 27.4 deg, rel. 27
- 29.2 deg, rel. 39
- 30.2 deg, rel. 28
- 31.6 deg, rel. 28
- 35.4 deg, rel. 36
- 39.4 deg, rel. 38
- 48.6 deg, rel. 29

***

Please write out number 2 again, unchanged.
Cs2KCdF5: theoretical X-ray diffraction stick pattern (CuKα), based on a DFT-relaxed cell (PBE, Alexandria).
Peak positions follow from Bragg's law for the DFT cell and can differ from measured ones.

Structural model:
```
Cs2KCdF5
1.0
-2.2217 3.2890 7.0384
2.2217 -3.2890 7.0384
2.2217 3.2890 -7.0384
Cs K Cd F
2 1 1 5
direct
0.2132 0.2132 0.0000 Cs
0.7868 0.7868 0.0000 Cs
0.5000 0.0000 0.5000 K
0.0000 0.5000 0.5000 Cd
0.0000 0.0000 0.0000 F
0.1290 0.3848 0.7442 F
0.3594 0.6152 0.7442 F
0.6406 0.3848 0.2558 F
0.8710 0.6152 0.2558 F
```

Peak list (12 most intense, 2θ = 10–90°, by angle)
- 14.9 deg, rel. 37
- 25.3 deg, rel. 14
- 27.1 deg, rel. 24
- 27.3 deg, rel. 100
- 27.6 deg, rel. 11
- 34.7 deg, rel. 21
- 37.4 deg, rel. 26
- 39.1 deg, rel. 20
- 40.6 deg, rel. 16
- 48.0 deg, rel. 20
- 54.4 deg, rel. 11
- 56.4 deg, rel. 14